(1)
MnB2H8: simulated powder X-ray diffraction pattern (Cu Kα X-rays), based on DFT lattice parameters and positions (PBE).

Cell: 5.541 5.541 5.839 Å, 90.00 90.00 90.00°
Space group P-4n2 (No. 118)
Unique sites:
Mn1 0.000 0.000 0.000
B1 0.249 0.251 0.750
H1 0.034 0.781 0.285
H2 0.141 0.330 0.918

Top 10 peaks for 2θ from 10° to 90°, low angle first:
Position (°2θ)  d (Å)  I_rel  hkl
22.12  4.019  100  1 0 1
22.69  3.918  46  1 1 0
38.45  2.341  21  1 1 2
39.50  2.281  42  2 1 1
45.11  2.010  22  2 0 2
46.34  1.959  9  2 2 0
49.65  1.836  11  1 0 3
60.48  1.531  10  2 1 3
61.74  1.502  10  3 1 2
62.49  1.486  10  3 2 1

(2)
Mg2Ti3NiS8: simulated powder X-ray diffraction pattern (Cu Kα X-rays), based on DFT lattice parameters and positions (PBE).

Cell: 7.1910 7.1910 18.1349 Å, 90.00 90.00 120.00°
Space group R-3m (No. 166, hexagonal axes)
Unique sites:
Mg1 0.0000 0.0000 0.1220
Ti1 0.0000 0.5000 0.0000
Ni1 0.0000 0.0000 0.5000
S1 0.0000 0.0000 0.2572
S2 0.0346 0.5173 0.2530

Top 10 peaks for 2θ from 10° to 90°, low angle first:
Position (°2θ)  d (Å)  I_rel  hkl
15.04  5.890  58  1 0 1
28.48  3.134  18  0 1 5
28.89  3.090  40  1 1 3
34.96  2.567  100  0 2 4
45.96  1.974  24  1 2 5
46.24  1.963  14  0 3 3
49.75  1.833  51  2 0 8
50.79  1.798  46  2 2 0
63.14  1.472  13  4 0 4
73.84  1.283  13  0 4 8

(3)
PmBeSi2Os2: simulated powder X-ray diffraction pattern (Cu Kα X-rays), based on DFT lattice parameters and positions (PBE).

Cell: 4.251 4.251 5.283 Å, 90.00 90.00 90.00°
Space group P4/mmm (No. 123)
Unique sites:
Pm1 0.000 0.000 0.000
Be1 0.000 0.000 0.500
Si1 0.500 0.500 0.236
Os1 0.000 0.500 0.500

Top 10 peaks for 2θ from 10° to 90°, low angle first:
Position (°2θ)  d (Å)  I_rel  hkl
16.78  5.283  27  0 0 1
26.92  3.312  13  1 0 1
33.94  2.641  21  0 0 2
34.33  2.613  100  1 1 1
42.53  2.125  35  2 0 0
45.73  1.984  13  1 1 2
55.49  1.656  21  2 0 2
60.98  1.519  18  1 1 3
61.72  1.503  12  2 2 0
72.56  1.303  23  3 1 1